Structure and theoretical powder diffraction line list of Pr3SiSe2N3 (a DFT-relaxed cell (PBE, OQMD); Cu Kα).

Peak list (10 most intense, 10 to 90 degrees two-theta, by angle)
| 2theta | I_rel |
| --- | --- |
| 25.04 | 24 |
| 25.88 | 15 |
| 27.55 | 10 |
| 29.14 | 100 |
| 31.81 | 19 |
| 36.77 | 15 |
| 39.21 | 15 |
| 41.35 | 29 |
| 42.00 | 24 |
| 65.37 | 10 |

```
54
Lattice="9.5179 5.4951 3.4878 -9.5179 5.4951 3.4878 0.0000 -10.9903 3.4878" Properties=species:S:1:pos:R:3 pbc="T T T"
Pr -6.8335 -5.2731 5.7723
Pr -7.4841 -1.3183 4.9891
Pr -7.9834 3.2814 4.6911
Pr -2.6004 -7.1406 5.4743
Pr 1.1499 -8.5546 4.6911
Pr -2.9533 -2.4131 5.4774
Pr -3.5664 1.3511 4.9860
Pr 0.6131 -3.7642 4.9860
Pr -4.8837 5.8223 5.4743
Pr 4.8837 -5.8223 4.9891
Pr -0.6131 3.7642 5.4773
Pr 3.5664 -1.3511 5.4773
Pr 2.9533 2.4131 4.9860
Pr -1.1499 8.5546 5.7722
Pr 2.6004 7.1406 4.9891
Pr 7.9834 -3.2815 5.7722
Pr 7.4841 1.3183 5.4743
Pr 6.8335 5.2732 4.6911
Si -0.7609 -1.5424 3.1111
Si -0.9553 1.4302 3.1111
Si 1.7162 0.1122 3.1111
Si -1.7162 -0.1122 7.3522
Si 0.9553 -1.4302 7.3522
Si 0.7609 1.5424 7.3522
Se -5.0977 -0.6765 3.2292
Se -0.3999 -6.1869 3.4615
Se -5.1581 3.4398 3.4615
Se -5.5580 -2.7472 7.0018
Se 3.1347 -4.0765 3.2292
Se -1.9630 -4.7530 7.2342
Se 1.9630 4.7530 3.2292
Se -3.1347 4.0765 7.2342
Se 5.5580 2.7472 3.4615
Se 5.1581 -3.4398 7.0018
Se 0.3999 6.1869 7.0018
Se 5.0977 0.6765 7.2342
N -0.9576 -1.9545 1.3740
N -1.2138 1.8066 1.3740
N -1.3560 -2.9706 3.8914
N -1.6983 -0.1090 3.4651
N 2.1715 0.1479 1.3740
N 0.9436 -1.4162 3.4652
N -1.8946 2.6596 3.8914
N 0.7547 1.5253 3.4652
N -3.2506 -0.3110 6.5720
N 3.2506 0.3110 3.8914
N -0.7547 -1.5253 6.9982
N 1.8946 -2.6596 6.5720
N -0.9436 1.4162 6.9982
N -2.1715 -0.1479 9.0894
N 1.6983 0.1091 6.9982
N 1.3560 2.9706 6.5720
N 1.2138 -1.8066 9.0894
N 0.9576 1.9545 9.0894
```